This entry pairs a crystal structure of HfAg2F11 with its theoretical X-ray powder pattern. Radiation: a wavelength of 1.5418 Å. Structure: a cell relaxed with GGA-PBE.
No peak broadening, texture or thermal motion is included.

Most intense lines, 2θ from 10° to 80°, sorted by position:
2θ/deg, I_rel
14.21, 53
22.27, 100
24.08, 25
24.21, 25
26.44, 52
26.60, 51
45.45, 32
47.11, 36

Structure:
Cell lengths 8.116, 8.116, 8.116 Å; angles 114.59, 113.82, 100.37 degrees
Element x y z (fractional)
Hf 0.250 0.250 0.000
Hf 0.750 0.750 0.000
Ag 0.185 0.685 0.870
Ag 0.315 0.185 0.499
Ag 0.685 0.815 0.501
Ag 0.815 0.315 0.130
F 0.000 0.500 0.500
F 0.048 0.922 0.258
F 0.078 0.337 0.128
F 0.156 0.345 0.501
F 0.164 0.422 0.874
F 0.208 0.950 0.872
F 0.292 0.163 0.741
F 0.336 0.210 0.258
F 0.344 0.845 0.190
F 0.422 0.550 0.259
F 0.452 0.710 0.874
F 0.500 0.000 0.500
F 0.548 0.290 0.126
F 0.578 0.450 0.741
F 0.656 0.155 0.810
F 0.664 0.790 0.742
F 0.708 0.837 0.259
F 0.792 0.050 0.128
F 0.836 0.578 0.126
F 0.844 0.655 0.499
F 0.922 0.663 0.872
F 0.952 0.078 0.742

This entry pairs a crystal structure of Na2Cu5Si4O14 with its theoretical X-ray powder pattern. Radiation: a wavelength of 1.5418 Å. Structure: a cell relaxed with GGA-PBE.
No peak broadening, texture or thermal motion is included.

Most intense lines, 2θ from 10° to 80°, sorted by position:
2θ/deg, I_rel
13.45, 30
17.96, 29
23.22, 29
27.08, 100
28.68, 24
33.54, 48
33.88, 78
58.01, 28

Structure:
Cell lengths 5.886, 7.997, 8.223 Å; angles 114.72, 94.25, 110.59 degrees
Element x y z (fractional)
Na 0.143 0.369 0.061
Na 0.857 0.631 0.939
Cu 0.000 0.500 0.500
Cu 0.129 0.934 0.769
Cu 0.308 0.893 0.320
Cu 0.692 0.107 0.680
Cu 0.871 0.066 0.231
Si 0.242 0.259 0.638
Si 0.395 0.710 0.914
Si 0.605 0.290 0.086
Si 0.758 0.741 0.362
O 0.050 0.141 0.732
O 0.081 0.278 0.480
O 0.183 0.701 0.761
O 0.264 0.694 0.077
O 0.320 0.116 0.021
O 0.418 0.140 0.555
O 0.424 0.492 0.799
O 0.576 0.508 0.201
O 0.582 0.860 0.445
O 0.680 0.884 0.979
O 0.736 0.306 0.923
O 0.817 0.299 0.239
O 0.919 0.722 0.520
O 0.950 0.859 0.268

This entry pairs a crystal structure of Nd2HoIn9 with its theoretical X-ray powder pattern. Radiation: a wavelength of 1.5418 Å. Structure: a cell relaxed with GGA-PBE.
No peak broadening, texture or thermal motion is included.

Most intense lines, 2θ from 10° to 80°, sorted by position:
2θ/deg, I_rel
18.93, 1
26.90, 1
33.10, 100
38.40, 50
43.15, 1
55.44, 33
66.11, 39
69.45, 11

Structure:
Cell lengths 4.690, 4.690, 14.051 Å; angles 90.00, 90.00, 90.00 degrees
Element x y z (fractional)
Nd 0.000 0.000 0.169
Nd 0.000 0.000 0.831
Ho 0.000 0.000 0.500
In 0.000 0.500 0.000
In 0.000 0.500 0.337
In 0.000 0.500 0.663
In 0.500 0.000 0.000
In 0.500 0.000 0.337
In 0.500 0.000 0.663
In 0.500 0.500 0.167
In 0.500 0.500 0.500
In 0.500 0.500 0.833

This entry pairs a crystal structure of Ce2CdRu with its theoretical X-ray powder pattern. Radiation: a wavelength of 1.5418 Å. Structure: a cell relaxed with GGA-PBE.
No peak broadening, texture or thermal motion is included.

Most intense lines, 2θ from 10° to 80°, sorted by position:
2θ/deg, I_rel
30.27, 100
31.09, 61
32.41, 37
34.15, 73
35.99, 35
38.04, 47
43.32, 46
57.13, 36

Structure:
Cell lengths 6.643, 6.643, 6.643 Å; angles 127.32, 90.17, 113.00 degrees
Element x y z (fractional)
Ce 0.092 0.547 0.045
Ce 0.157 0.250 0.407
Ce 0.502 0.047 0.955
Ce 0.843 0.750 0.593
Cd 0.629 0.129 0.500
Cd 0.629 0.629 0.000
Ru 0.217 0.057 0.661
Ru 0.396 0.557 0.339

This entry pairs a crystal structure of La8Sn3TeI4 with its theoretical X-ray powder pattern. Radiation: a wavelength of 1.5418 Å. Structure: a cell relaxed with GGA-PBE.
No peak broadening, texture or thermal motion is included.

Most intense lines, 2θ from 10° to 80°, sorted by position:
2θ/deg, I_rel
27.17, 100
38.53, 40
39.06, 36
47.78, 21
56.03, 12
62.99, 19
63.73, 15
70.06, 13

Structure:
Cell lengths 9.225, 9.225, 9.225 Å; angles 60.87, 60.87, 60.87 degrees
Element x y z (fractional)
La 0.238 0.745 0.745
La 0.242 0.242 0.242
La 0.255 0.255 0.762
La 0.255 0.762 0.255
La 0.745 0.238 0.745
La 0.745 0.745 0.238
La 0.758 0.758 0.758
La 0.762 0.255 0.255
Sn 0.000 0.000 0.500
Sn 0.000 0.500 0.000
Sn 0.500 0.000 0.000
Te 0.500 0.500 0.500
I 0.000 0.000 0.000
I 0.000 0.500 0.500
I 0.500 0.000 0.500
I 0.500 0.500 0.000

This entry pairs a crystal structure of Sr3In5Cl12 with its theoretical X-ray powder pattern. Radiation: a wavelength of 1.5418 Å. Structure: a cell relaxed with GGA-PBE.
No peak broadening, texture or thermal motion is included.

Most intense lines, 2θ from 10° to 80°, sorted by position:
2θ/deg, I_rel
24.14, 100
24.46, 91
29.38, 79
34.63, 100
40.74, 34
42.46, 30
42.66, 59
47.92, 33

Structure:
Cell lengths 12.774, 12.774, 4.429 Å; angles 90.00, 90.00, 120.00 degrees
Element x y z (fractional)
Sr 0.000 0.325 0.000
Sr 0.325 0.000 0.000
Sr 0.675 0.675 0.000
In 0.000 0.703 0.500
In 0.297 0.297 0.500
In 0.333 0.667 0.500
In 0.667 0.333 0.500
In 0.703 0.000 0.500
Cl 0.000 0.179 0.500
Cl 0.000 0.471 0.500
Cl 0.179 0.000 0.500
Cl 0.190 0.737 0.000
Cl 0.263 0.453 0.000
Cl 0.453 0.263 0.000
Cl 0.471 0.000 0.500
Cl 0.529 0.529 0.500
Cl 0.547 0.810 0.000
Cl 0.737 0.190 0.000
Cl 0.810 0.547 0.000
Cl 0.821 0.821 0.500